Pm8HgPb5: simulated X-ray powder pattern (copper Kα), based on a DFT-relaxed cell (PBE, Alexandria).

Peak list (6 most intense, 10° ≤ 2θ ≤ 80°, sorted by position)
index  2θ/deg  Rel. int.
1 0 3  29.3  50
3 1 0  29.5  100
2 1 3  34.9  64
2 3 1  35.0  30
2 4 0  42.1  19
2 3 3  44.2  21

Structural model:
Unit cell a=9.5855 b=9.5855 c=9.6575 alpha=90.00 beta=90.00 gamma=90.00
Space group I-4 (No. 82)
Asymmetric unit:
Pm 0.0670 0.3186 0.0520 (multiplicity 8)
Pm 0.0740 0.1813 0.6928 (multiplicity 8)
Hg 0.0000 0.0000 0.0000 (multiplicity 2)
Pb 0.0000 0.5000 0.7500 (multiplicity 2)
Pb 0.1244 0.2483 0.3727 (multiplicity 8)



Pm6HgPb6: simulated X-ray powder pattern (copper Kα), based on a DFT-relaxed cell (PBE, Alexandria).

Peak list (6 most intense, 10° ≤ 2θ ≤ 80°, sorted by position)
index  2θ/deg  Rel. int.
2 0 0  30.8  62
1 1 2  31.6  55
0 0 4  33.9  32
2 0 2  35.3  100
2 2 0  54.8  33
2 2 4  66.0  29

Structural model:
Unit cell a=6.6981 b=6.6981 c=10.5776 alpha=90.00 beta=90.00 gamma=120.00
Space group P6/mmm (No. 191)
Asymmetric unit:
Pm 0.0000 0.0000 0.1894 (multiplicity 2)
Pm 0.3333 0.6667 0.0000 (multiplicity 2)
Pm 0.3333 0.6667 0.5000 (multiplicity 2)
Hg 0.0000 0.0000 0.5000 (multiplicity 1)
Pb 0.0000 0.5000 0.2506 (multiplicity 6)